Record 1
Simulated powder X-ray diffraction pattern
Compound: La4Se7S
Radiation: copper Kα
Structure: a cell relaxed with PBE

Structure:
```
La4Se7S
1.0
4.254 0.000 0.000
0.016 8.519 0.000
0.002 0.033 8.603
La Se S
4 7 1
Cartesian
0.000 0.000 0.000
0.232 4.293 8.552
2.113 2.164 4.774
2.384 6.321 4.776
0.097 8.526 5.516
0.423 6.441 2.395
1.964 8.449 2.366
2.215 2.144 7.834
2.287 6.399 7.834
2.543 4.195 2.352
4.081 2.185 2.398
0.162 4.272 5.522
```

Principal peaks in the range 10° ≤ 2θ ≤ 90°, in order of falling intensity:
| 2theta | I/Imax |
| --- | --- |
| 31.5 | 100 |
| 42.5 | 99 |
| 23.3 | 95 |
| 36.4 | 93 |
| 36.5 | 91 |
| 31.2 | 71 |
| 37.8 | 69 |
| 31.4 | 44 |
| 53.7 | 37 |
| 29.7 | 33 |


Record 2
Simulated powder X-ray diffraction pattern
Compound: LaSeS
Radiation: copper Kα
Structure: a cell relaxed with PBE

Structure:
```
LaSeS
1.0
8.406 0.000 0.000
0.000 4.178 0.000
-0.037 0.000 8.392
La Se S
4 4 4
Cartesian
1.777 0.908 3.126
1.759 1.181 7.322
6.610 2.997 1.071
6.592 3.271 5.267
4.172 2.858 3.197
4.153 3.409 7.394
4.215 0.769 0.999
4.197 1.320 5.195
1.123 3.091 1.054
1.104 3.177 5.251
7.264 1.002 3.142
7.246 1.088 7.338
```

Principal peaks in the range 10° ≤ 2θ ≤ 90°, in order of falling intensity:
| 2theta | I/Imax |
| --- | --- |
| 32.0 | 100 |
| 37.1 | 72 |
| 37.2 | 69 |
| 23.7 | 69 |
| 23.8 | 62 |
| 32.1 | 49 |
| 43.1 | 47 |
| 38.7 | 38 |
| 30.2 | 33 |
| 54.8 | 31 |


Record 3
Simulated powder X-ray diffraction pattern
Compound: La2SiS5
Radiation: copper Kα
Structure: a cell relaxed with PBE

Structure:
```
La2SiS5
1.0
7.656 0.000 0.000
0.000 12.698 0.000
-1.567 0.000 7.786
La Si S
8 4 20
Cartesian
1.046 2.093 1.035
0.262 4.255 4.928
1.762 7.555 0.352
0.978 11.491 4.245
5.110 1.206 3.541
4.327 5.143 7.434
5.827 8.442 2.858
5.043 10.604 6.751
1.590 7.830 4.642
2.374 11.217 0.749
3.715 1.481 7.037
4.499 4.868 3.144
-0.113 8.920 5.404
0.671 10.127 1.511
0.277 1.541 3.865
-0.507 4.808 7.758
0.732 6.729 3.026
-0.052 12.318 6.919
2.775 0.015 2.197
1.992 6.334 6.089
2.161 2.877 7.390
2.944 3.472 3.497
3.144 9.226 4.289
3.928 9.821 0.396
4.097 6.364 1.696
3.313 12.683 5.589
6.141 0.380 0.867
5.357 5.969 4.760
6.595 7.889 0.028
5.812 11.157 3.921
5.418 2.571 6.275
6.202 3.778 2.382
```

Principal peaks in the range 10° ≤ 2θ ≤ 90°, in order of falling intensity:
| 2theta | I/Imax |
| --- | --- |
| 22.8 | 100 |
| 37.1 | 47 |
| 27.8 | 43 |
| 23.6 | 43 |
| 23.7 | 41 |
| 24.1 | 40 |
| 28.1 | 40 |
| 18.0 | 39 |
| 37.2 | 37 |
| 37.4 | 35 |


Record 4
Simulated powder X-ray diffraction pattern
Compound: La2SiS5
Radiation: copper Kα
Structure: a cell relaxed with PBE

Structure:
```
La2SiS5
1.0
8.711 0.000 0.000
0.000 8.217 0.000
-0.626 0.000 12.479
La Si S
8 4 20
Cartesian
0.005 0.458 2.039
-0.308 3.650 8.279
1.808 0.630 6.308
2.121 3.478 0.069
5.963 4.738 12.410
6.276 7.587 6.171
8.393 4.566 4.200
8.079 7.759 10.439
3.786 5.911 3.516
3.473 6.414 9.755
4.611 1.803 2.724
4.298 2.306 8.963
-0.326 4.940 10.877
-0.013 7.384 4.638
0.975 0.760 12.266
1.288 3.348 6.026
2.112 5.534 2.392
1.799 6.791 8.631
2.716 1.451 3.406
2.403 2.657 9.645
3.271 5.768 11.696
3.584 6.557 5.457
4.500 1.660 7.022
4.814 2.448 0.782
5.681 5.559 2.833
5.368 6.766 9.073
6.285 1.425 3.848
5.972 2.683 10.087
6.796 4.868 6.452
7.109 7.456 0.213
8.098 0.832 7.841
8.411 3.276 1.601
```

Principal peaks in the range 10° ≤ 2θ ≤ 90°, in order of falling intensity:
| 2theta | I/Imax |
| --- | --- |
| 24.0 | 100 |
| 10.2 | 42 |
| 37.5 | 32 |
| 47.5 | 24 |
| 25.5 | 21 |
| 31.9 | 20 |
| 24.5 | 20 |
| 34.5 | 17 |
| 20.9 | 17 |
| 12.9 | 17 |


Record 5
Simulated powder X-ray diffraction pattern
Compound: La12Si4SnS28
Radiation: copper Kα
Structure: a cell relaxed with PBE

Structure:
```
La12Si4SnS28
1.0
10.413 0.000 0.000
-0.002 11.630 0.000
-5.203 -5.816 9.013
La Si Sn S
12 4 1 28
Cartesian
0.000 0.000 0.000
-5.075 0.162 8.878
-0.232 2.900 4.781
-0.081 -2.729 4.671
3.126 8.716 0.932
3.139 3.085 1.132
0.343 0.163 7.903
0.507 5.815 7.967
4.604 -2.729 5.693
4.777 2.899 5.764
7.160 5.813 3.526
7.199 0.163 3.712
2.558 6.406 3.819
2.554 0.602 3.838
7.748 9.300 0.825
7.775 3.491 0.823
-2.649 -4.370 6.833
-1.175 10.124 2.144
-1.097 4.321 2.076
-4.436 2.934 8.369
-4.354 -3.015 8.262
-0.961 5.915 5.368
-0.854 -0.016 5.306
1.024 7.231 2.559
1.043 1.415 2.538
2.978 0.098 0.014
2.980 5.803 0.138
-0.557 -3.016 7.594
-0.426 2.935 7.614
2.559 -1.520 3.796
2.555 4.294 3.861
2.211 1.427 5.785
2.205 7.222 5.787
4.421 1.409 3.137
4.431 7.237 3.166
5.878 4.308 1.445
5.901 10.138 1.541
2.896 -1.500 7.886
2.932 4.312 7.876
7.761 1.375 0.827
7.762 7.192 0.820
5.545 -0.017 6.042
5.650 5.914 6.104
7.326 2.936 4.517
7.376 8.614 4.642
```

Principal peaks in the range 10° ≤ 2θ ≤ 90°, in order of falling intensity:
| 2theta | I/Imax |
| --- | --- |
| 25.0 | 100 |
| 35.9 | 58 |
| 39.2 | 55 |
| 22.9 | 47 |
| 36.8 | 37 |
| 40.8 | 35 |
| 26.2 | 33 |
| 34.5 | 32 |
| 18.2 | 32 |
| 48.0 | 31 |


Record 6
Simulated powder X-ray diffraction pattern
Compound: La5SmS8
Radiation: copper Kα
Structure: a cell relaxed with PBE

Structure:
```
La5SmS8
1.0
-4.350 4.350 4.352
4.350 -4.350 4.352
4.350 4.350 -4.352
La Sm S
5 1 8
Cartesian
0.000 0.000 0.000
5.454 2.169 -1.091
2.169 3.246 1.091
-1.104 2.181 3.261
2.181 1.104 5.443
4.350 0.000 2.176
2.842 0.655 -0.410
2.797 3.712 -1.747
1.553 0.638 2.605
3.695 -1.508 4.761
4.988 2.797 1.747
0.655 5.857 0.410
1.508 3.695 3.942
-0.638 1.553 6.099
```

Principal peaks in the range 10° ≤ 2θ ≤ 90°, in order of falling intensity:
| 2theta | I/Imax |
| --- | --- |
| 25.1 | 100 |
| 32.5 | 98 |
| 38.7 | 61 |
| 46.7 | 41 |
| 66.2 | 38 |
| 53.7 | 31 |
| 81.2 | 27 |
| 49.1 | 26 |
| 70.1 | 15 |
| 51.4 | 9 |


Copy entry 6 word for word.
Simulated powder X-ray diffraction pattern
Compound: La5SmS8
Radiation: copper Kα
Structure: a cell relaxed with PBE

Structure:
```
La5SmS8
1.0
-4.350 4.350 4.352
4.350 -4.350 4.352
4.350 4.350 -4.352
La Sm S
5 1 8
Cartesian
0.000 0.000 0.000
5.454 2.169 -1.091
2.169 3.246 1.091
-1.104 2.181 3.261
2.181 1.104 5.443
4.350 0.000 2.176
2.842 0.655 -0.410
2.797 3.712 -1.747
1.553 0.638 2.605
3.695 -1.508 4.761
4.988 2.797 1.747
0.655 5.857 0.410
1.508 3.695 3.942
-0.638 1.553 6.099
```

Principal peaks in the range 10° ≤ 2θ ≤ 90°, in order of falling intensity:
| 2theta | I/Imax |
| --- | --- |
| 25.1 | 100 |
| 32.5 | 98 |
| 38.7 | 61 |
| 46.7 | 41 |
| 66.2 | 38 |
| 53.7 | 31 |
| 81.2 | 27 |
| 49.1 | 26 |
| 70.1 | 15 |
| 51.4 | 9 |